Starting from a PBE-relaxed structure, the powder X-ray diffraction pattern of KPmCdS3 was computed for Cu Kα (λ = 1.5418 Å).
Intensities are scaled so that the largest is 100.

Top 10 peaks for 2θ from 15° to 90°, by intensity:
2theta  intensity
30.07  100
28.17  58
29.69  57
43.53  56
34.42  55
26.48  51
23.99  45
32.46  39
43.01  38
37.58  33

```
KPmCdS3
1.0
8.7332 0.0000 0.0000
0.0000 4.2068 0.0000
-2.7497 0.0000 9.6351
K Pm Cd S
2 2 2 6
Cartesian
1.1745 1.0517 2.0616 K
4.8089 3.1551 7.5735 K
0.5290 3.1551 8.2916 Pm
5.4545 1.0517 1.3435 Pm
-0.9237 1.0517 5.8754 Cd
6.9072 3.1551 3.7596 Cd
-1.4218 1.0517 8.3297 S
0.4174 3.1551 5.2216 S
3.5754 3.1551 1.4042 S
2.4081 1.0517 8.2309 S
5.5661 1.0517 4.4135 S
7.4052 3.1551 1.3054 S
```